The following is a simulated X-ray diffraction stick pattern of UCu2Si2Ni8. It was derived from the GGA-PBE geometry in Alexandria, using Cu Kα, 1.54184 Å.
Peak positions follow from Bragg's law for the DFT cell and can differ from measured ones.

Atomic structure:
Lattice parameters (Å, degrees): 4.885 11.320 11.515 90.00 90.00 90.00
Space group Fmmm (No. 69)
One atom of each set of equivalent atoms:
U 0.000 0.000 0.000 (multiplicity 4)
Cu 0.250 0.250 0.000 (multiplicity 8)
Si 0.250 0.000 0.250 (multiplicity 8)
Ni 0.000 0.109 0.386 (multiplicity 16)
Ni 0.000 0.168 0.176 (multiplicity 16)

Most intense lines, 5° ≤ 2θ ≤ 70°, in order of falling intensity:
2θ = 44.9°, intensity 100, hkl 0 4 4; 2θ = 43.3°, intensity 62, hkl 2 2 2; 2θ = 38.2°, intensity 60, hkl 1 3 3; 2θ = 44.2°, intensity 57, hkl 1 1 5; 2θ = 36.8°, intensity 29, hkl 2 0 0; 2θ = 30.7°, intensity 27, hkl 1 1 3; 2θ = 35.3°, intensity 25, hkl 0 4 2; 2θ = 15.4°, intensity 25, hkl 0 0 2; 2θ = 21.3°, intensity 24, hkl 1 1 1; 2θ = 30.9°, intensity 24, hkl 1 3 1